For Dy2Ga3Ge2, a DFT-relaxed cell (GGA-PBE, Alexandria) gives the calculated PXRD pattern in this record (Cu Kα, 1.54184 Å).
Neutral-atom scattering factors, no anomalous dispersion.

The 10 most intense peaks (10 to 80 degrees two-theta), in order of falling intensity:
36.33°, intensity 100.0; 32.98°, intensity 53.6; 33.70°, intensity 52.8; 38.39°, intensity 51.7; 38.58°, intensity 51.0; 39.19°, intensity 50.6; 70.07°, intensity 26.4; 39.36°, intensity 22.6; 18.66°, intensity 21.6; 55.75°, intensity 18.2

Cell and atoms:
abc: 4.5976 3.3090 9.7720
angles: 90.00 103.30 90.00
Sites, in units of the cell vectors:
Dy: 0.1433 0.0000 0.2862
Dy: 0.8567 0.0000 0.7138
Ga: 0.0000 0.5000 0.0000
Ga: 0.2819 0.5000 0.5645
Ga: 0.7181 0.5000 0.4355
Ge: 0.4202 0.5000 0.8397
Ge: 0.5798 0.5000 0.1603

For Dy2Ga2Ge, a DFT-relaxed cell (GGA-PBE, Alexandria) gives the calculated PXRD pattern in this record (Cu Kα, 1.54184 Å).
Neutral-atom scattering factors, no anomalous dispersion.

The 10 most intense peaks (10 to 80 degrees two-theta), in order of falling intensity:
32.89°, intensity 100.0; 32.34°, intensity 96.6; 40.97°, intensity 64.9; 43.67°, intensity 41.8; 32.77°, intensity 41.5; 36.98°, intensity 36.7; 26.99°, intensity 25.3; 25.06°, intensity 23.5; 63.66°, intensity 22.8; 42.28°, intensity 21.2

Cell and atoms:
abc: 5.8502 5.8502 10.9476
angles: 115.44 115.44 41.50
Sites, in units of the cell vectors:
Dy: 0.0977 0.0977 0.4020
Dy: 0.2942 0.2942 0.8536
Dy: 0.7058 0.7058 0.1464
Dy: 0.9023 0.9023 0.5980
Ga: 0.0159 0.0159 0.8991
Ga: 0.3657 0.3657 0.3899
Ga: 0.6343 0.6343 0.6101
Ga: 0.9841 0.9841 0.1009
Ge: 0.4226 0.4226 0.1863
Ge: 0.5774 0.5774 0.8137